Calculated X-ray powder pattern of K2Fe2O3 for a wavelength of 1.5418 Å, from a PBE+U-relaxed structure.
Lines closer than 0.1° are merged.

Main lines, low angle first (2θ from 10° to 80°):
2θ (°)	Rel. int.
17.49	72.2
27.20	17.8
31.22	40.1
31.85	100.0
32.88	23.6
39.57	19.3
44.48	22.4
45.36	24.2
45.98	19.2
56.10	12.7

Atomic structure:
Cell: 6.4717 6.4717 5.7296 Å, 116.26 116.26 35.99°
Fractional positions:
K 0.0915 0.0915 0.3479
K 0.9085 0.9085 0.6521
Fe 0.3475 0.3475 0.0372
Fe 0.6525 0.6525 0.9628
O 0.1602 0.1602 0.8797
O 0.5000 0.5000 0.0000
O 0.8398 0.8398 0.1203